(1)
This entry pairs a crystal structure of SrGa12Cu6 with its theoretical XRD peak list. Radiation: Cu Kα. Structure: a structure optimized by DFT (GGA-PBE).
Neutral-atom scattering factors, no anomalous dispersion.

Atomic structure:
```
data_SrGa12Cu6
_chemical_formula_sum 'Sr3 Ga36 Cu18'
_symmetry_space_group_name_H-M 'R -3 m'
_symmetry_Int_Tables_number 166
_symmetry_space_group_name_Hall '-R 3 2"'
_cell_length_a 11.3650
_cell_length_b 11.3650
_cell_length_c 8.7744
_cell_angle_alpha 90.00
_cell_angle_beta 90.00
_cell_angle_gamma 120.00
loop_
_atom_site_label
_atom_site_fract_x
_atom_site_fract_y
_atom_site_fract_z
Sr1 0.0000 0.0000 0.0000
Ga1 0.0000 0.3856 0.5000
Ga2 0.0846 0.1693 0.3215
Cu1 0.0449 0.5225 0.2431
```

Top 10 peaks for 2θ from 15° to 90°, in order of rising 2θ:
two_theta, I (rel.), (hkl)
26.02, 11, 2 1 1
34.44, 100, 1 3 1
38.86, 14, 3 1 2
41.32, 58, 0 3 3
42.09, 23, 0 4 2
45.22, 48, 0 2 4
50.84, 33, 5 0 2
62.97, 14, 3 1 5
67.49, 12, 5 2 3
74.23, 12, 4 4 3

***

(2)
This entry pairs a crystal structure of FeAsPC with its theoretical XRD peak list. Radiation: Cu Kα. Structure: a structure optimized by DFT (GGA-PBE).
Neutral-atom scattering factors, no anomalous dispersion.

Atomic structure:
```
data_FeAsPC
_chemical_formula_sum 'Fe1 As1 P1 C1'
_symmetry_space_group_name_H-M 'P m m 2'
_symmetry_Int_Tables_number 25
_cell_length_a 2.9261
_cell_length_b 3.0276
_cell_length_c 5.7186
_cell_angle_alpha 90.00
_cell_angle_beta 90.00
_cell_angle_gamma 90.00
loop_
_symmetry_equiv_pos_as_xyz
'x,y,z'
'-x,-y,z'
'-x,y,z'
'x,-y,z'
loop_
_atom_site_label
_atom_site_fract_x
_atom_site_fract_y
_atom_site_fract_z
Fe1 0.0000 0.0000 0.0000
As1 0.5000 0.0000 0.6969
P1 0.0000 0.5000 0.2672
C1 0.5000 0.5000 0.4678
```

Top 10 peaks for 2θ from 15° to 90°, in order of rising 2θ:
two_theta, I (rel.), (hkl)
15.50, 33, 0 0 1
29.50, 36, 0 1 0
33.49, 78, 0 1 1
34.43, 100, 1 0 1
44.29, 24, 1 0 2
45.96, 38, 1 1 1
54.12, 74, 1 1 2
57.10, 22, 0 1 3
72.17, 21, 1 2 1
73.80, 21, 2 1 1

***

(3)
This entry pairs a crystal structure of Ag2SnPbAu4 with its theoretical XRD peak list. Radiation: Cu Kα. Structure: a structure optimized by DFT (GGA-PBE).
Neutral-atom scattering factors, no anomalous dispersion.

Atomic structure:
```
data_Ag2SnPbAu4
_chemical_formula_sum 'Ag6 Sn3 Pb3 Au12'
_symmetry_space_group_name_H-M 'R -3 m'
_symmetry_Int_Tables_number 166
_symmetry_space_group_name_Hall '-R 3 2"'
_cell_length_a 4.8284
_cell_length_b 4.8284
_cell_length_c 24.2276
_cell_angle_alpha 90.00
_cell_angle_beta 90.00
_cell_angle_gamma 120.00
loop_
_atom_site_label
_atom_site_fract_x
_atom_site_fract_y
_atom_site_fract_z
Ag1 0.0000 0.0000 0.2486
Sn1 0.0000 0.0000 0.0000
Pb1 0.0000 0.0000 0.5000
Au1 0.0000 0.0000 0.1207
Au2 0.0000 0.0000 0.3714
```

Top 10 peaks for 2θ from 15° to 90°, in order of rising 2θ:
two_theta, I (rel.), (hkl)
25.89, 7, 1 0 4
36.64, 100, 0 1 8
37.24, 98, 1 1 0
53.24, 34, 2 0 8
65.57, 17, 1 0 16
66.76, 35, 1 2 8
67.16, 18, 3 0 0
77.90, 11, 0 2 16
79.38, 11, 2 2 0
89.67, 16, 2 1 16

***

(4)
This entry pairs a crystal structure of DyBe4SiIr2 with its theoretical XRD peak list. Radiation: Cu Kα. Structure: a structure optimized by DFT (GGA-PBE).
Neutral-atom scattering factors, no anomalous dispersion.

Atomic structure:
```
data_DyBe4SiIr2
_chemical_formula_sum 'Dy3 Be12 Si3 Ir6'
_symmetry_space_group_name_H-M 'R -3 m'
_symmetry_Int_Tables_number 166
_symmetry_space_group_name_Hall '-R 3 2"'
_cell_length_a 3.9224
_cell_length_b 3.9224
_cell_length_c 23.7879
_cell_angle_alpha 90.00
_cell_angle_beta 90.00
_cell_angle_gamma 120.00
loop_
_atom_site_label
_atom_site_fract_x
_atom_site_fract_y
_atom_site_fract_z
Dy1 0.0000 0.0000 0.0000
Be1 0.0000 0.0000 0.1231
Be2 0.0000 0.0000 0.4074
Si1 0.0000 0.0000 0.5000
Ir1 0.0000 0.0000 0.2279
```

Top 10 peaks for 2θ from 15° to 90°, in order of rising 2θ:
two_theta, I (rel.), (hkl)
26.51, 19, 1 0 1
27.30, 15, 0 1 2
30.30, 100, 1 0 4
32.38, 50, 0 1 5
33.92, 25, 0 0 9
40.31, 26, 0 1 8
46.29, 46, 1 1 0
56.33, 18, 0 2 4
57.18, 17, 1 0 13
58.61, 32, 1 1 9

***

(5)
This entry pairs a crystal structure of RbBe2O with its theoretical XRD peak list. Radiation: Cu Kα. Structure: a structure optimized by DFT (GGA-PBE).
Neutral-atom scattering factors, no anomalous dispersion.

Atomic structure:
```
data_RbBe2O
_chemical_formula_sum 'Rb4 Be8 O4'
_symmetry_space_group_name_H-M 'I 41/a m d'
_symmetry_Int_Tables_number 141
_cell_length_a 5.7631
_cell_length_b 5.7631
_cell_length_c 8.4451
_cell_angle_alpha 90.00
_cell_angle_beta 90.00
_cell_angle_gamma 90.00
loop_
_symmetry_equiv_pos_as_xyz
'x,y,z'
'-x,-y,-z'
'-y+1/4,x+3/4,z+1/4'
'y+1/4,-x+3/4,-z+1/4'
'-x+1/2,-y,z+1/2'
'x+1/2,y,-z+1/2'
'y+1/4,-x+1/4,z+3/4'
'-y+1/4,x+1/4,-z+3/4'
'x,-y,-z'
'-x,y,z'
'-y+1/4,-x+1/4,-z+3/4'
'y+1/4,x+1/4,z+3/4'
'-x+1/2,y,-z+1/2'
'x+1/2,-y,z+1/2'
'y+1/4,x+3/4,-z+1/4'
'-y+1/4,-x+3/4,z+1/4'
'x+1/2,y+1/2,z+1/2'
'-x+1/2,-y+1/2,-z+1/2'
'-y+3/4,x+1/4,z+3/4'
'y+3/4,-x+1/4,-z+3/4'
'-x,-y+1/2,z'
'x,y+1/2,-z'
'y+3/4,-x+3/4,z+1/4'
'-y+3/4,x+3/4,-z+1/4'
'x+1/2,-y+1/2,-z+1/2'
'-x+1/2,y+1/2,z+1/2'
'-y+3/4,-x+3/4,-z+1/4'
'y+3/4,x+3/4,z+1/4'
'-x,y+1/2,-z'
'x,-y+1/2,z'
'y+3/4,x+1/4,-z+3/4'
'-y+3/4,-x+1/4,z+3/4'
loop_
_atom_site_label
_atom_site_fract_x
_atom_site_fract_y
_atom_site_fract_z
Rb1 0.0000 0.2500 0.3750
Be1 0.0000 0.0000 0.0000
O1 0.0000 0.2500 0.8750
```

Top 10 peaks for 2θ from 15° to 90°, in order of rising 2θ:
two_theta, I (rel.), (hkl)
18.64, 51, 1 0 1
30.49, 100, 1 1 2
31.04, 48, 2 0 0
35.49, 19, 1 0 3
36.45, 35, 2 1 1
44.46, 13, 2 2 0
53.83, 18, 2 0 4
54.87, 34, 3 1 2
63.45, 14, 2 2 4
89.81, 12, 5 1 2

***

(6)
This entry pairs a crystal structure of Ac3Pm4Y with its theoretical XRD peak list. Radiation: Cu Kα. Structure: a structure optimized by DFT (GGA-PBE).
Neutral-atom scattering factors, no anomalous dispersion.

Atomic structure:
```
data_Ac3Pm4Y
_chemical_formula_sum 'Ac6 Pm8 Y2'
_symmetry_space_group_name_H-M 'P m m n'
_symmetry_Int_Tables_number 59
_cell_length_a 5.3520
_cell_length_b 10.6443
_cell_length_c 10.6419
_cell_angle_alpha 90.00
_cell_angle_beta 90.00
_cell_angle_gamma 90.00
loop_
_symmetry_equiv_pos_as_xyz
'x,y,z'
'-x,-y,-z'
'-x+1/2,-y+1/2,z'
'x+1/2,y+1/2,-z'
'x+1/2,-y,-z'
'-x+1/2,y,z'
'-x,y+1/2,-z'
'x,-y+1/2,z'
loop_
_atom_site_label
_atom_site_fract_x
_atom_site_fract_y
_atom_site_fract_z
Ac1 0.2500 0.0042 0.1328
Ac2 0.2500 0.2500 0.8671
Pm1 0.2500 0.2500 0.3814
Pm2 0.2500 0.5041 0.6167
Pm3 0.2500 0.7500 0.3852
Y1 0.2500 0.7500 0.8635
```

Top 10 peaks for 2θ from 15° to 90°, in order of rising 2θ:
two_theta, I (rel.), (hkl)
29.01, 100, 1 2 2
33.49, 17, 2 0 0
33.68, 33, 0 4 0
48.23, 25, 2 4 0
48.38, 12, 0 4 4
57.14, 15, 3 2 2
57.40, 28, 1 6 2
60.12, 13, 2 4 4
78.07, 12, 3 6 2
80.32, 6, 4 4 0